Structure and calculated powder diffractogram of KYAgF5 (DFT lattice parameters and positions (GGA-PBE); λ = 1.5418 Å (Cu Kα)).
No peak broadening, texture or thermal motion is included.

Structure:
```
data_KYAgF5
_space_group_name_H-M_alt 'C 1 2/c 1'
_space_group_IT_number 15
_cell_length_a 6.978
_cell_length_b 10.980
_cell_length_c 8.162
_cell_angle_alpha 90.00
_cell_angle_beta 102.81
_cell_angle_gamma 90.00
loop_
_space_group_symop_operation_xyz
'x,y,z'
'-x,-y,-z'
'-x,y,-z+1/2'
'x,-y,z+1/2'
'x+1/2,y+1/2,z'
'-x+1/2,-y+1/2,-z'
'-x+1/2,y+1/2,-z+1/2'
'x+1/2,-y+1/2,z+1/2'
loop_
_atom_site_label
_atom_site_fract_x
_atom_site_fract_y
_atom_site_fract_z
K1 0.000 0.156 0.250
Y1 0.000 0.500 0.000
Ag1 0.000 0.169 0.750
F1 0.000 0.418 0.250
F2 0.123 0.329 0.609
F3 0.196 0.063 0.975
```

Peak list (10 most intense, 10 to 90 degrees two-theta, in order of rising 2θ)
index  2theta  I (rel.)
1 1 -1  17.17  18
1 1 1  20.61  15
1 1 -2  24.65  50
2 0 0  26.19  42
1 3 0  27.68  100
1 1 2  29.55  15
0 4 2  39.91  17
0 0 4  45.60  16
3 3 0  47.14  23
1 3 -4  51.37  15